The following is a computed X-ray powder pattern of In3SnI5. It was derived from a DFT-relaxed cell (PBE, the Materials Project), using copper Kα.
Lines closer than 0.1° are merged.

Largest 10 diffraction maxima, low angle first, 2θ from 10° to 90°:
two_theta  intensity  (hkl)
25.8  40.6  2 1 1
26.2  33.9  1 2 2
27.2  83.4  1 2 -4
27.8  77.9  2 1 -5
28.0  24.4  2 2 -1
30.6  69.0  0 0 6
31.0  82.9  1 3 -1
31.3  100.0  3 1 -2
43.5  30.5  1 3 5
44.8  29.5  1 3 -7

Cell and atoms:
a b c (Å): 9.0427 9.1303 19.0585
angles (deg): 90.00 113.20 90.00
Sites, in units of the cell vectors:
In 0.0695 0.2137 0.0279
In 0.0695 0.2863 0.5279
In 0.1084 0.6890 0.7492
In 0.1084 0.8110 0.2492
In 0.3890 0.5329 0.2494
In 0.3890 0.9671 0.7494
In 0.6110 0.0329 0.2506
In 0.6110 0.4671 0.7506
In 0.8916 0.1890 0.7508
In 0.8916 0.3110 0.2508
In 0.9305 0.7137 0.4721
In 0.9305 0.7863 0.9721
Sn 0.3912 0.1776 0.4142
Sn 0.3912 0.3224 0.9142
Sn 0.6088 0.6776 0.0858
Sn 0.6088 0.8224 0.5858
I 0.0610 0.0138 0.3969
I 0.0610 0.4862 0.8969
I 0.2006 0.0302 0.8945
I 0.2006 0.4698 0.3945
I 0.2398 0.1672 0.2387
I 0.2398 0.3328 0.7387
I 0.3179 0.6683 0.6132
I 0.3179 0.8317 0.1132
I 0.4662 0.1488 0.6045
I 0.4662 0.3512 0.1045
I 0.5338 0.6488 0.8955
I 0.5338 0.8512 0.3955
I 0.6821 0.1683 0.8868
I 0.6821 0.3317 0.3868
I 0.7602 0.6672 0.2613
I 0.7602 0.8328 0.7613
I 0.7994 0.5302 0.6055
I 0.7994 0.9698 0.1055
I 0.9390 0.5138 0.1031
I 0.9390 0.9862 0.6031